[1]
This entry pairs a crystal structure of Ba3U2N2O5 with its calculated X-ray diffraction stick pattern. Radiation: copper Kα. Structure: DFT lattice parameters and positions (PBE).
Lines closer than 0.1° are merged.

Largest 10 diffraction maxima, low angle first, 10° ≤ 2θ ≤ 90°:
| 2θ (°) | intensity |
| --- | --- |
| 20.35 | 6.2 |
| 28.31 | 100.0 |
| 40.28 | 7.9 |
| 40.55 | 18.2 |
| 49.99 | 13.0 |
| 50.17 | 27.6 |
| 58.48 | 10.4 |
| 66.42 | 12.8 |
| 80.64 | 6.9 |
| 80.78 | 7.5 |

Crystal structure
Cell: 11.6299 11.6299 11.6299 Å, 157.94 157.94 31.39°
Fractional positions:
Ba1 0.0000 0.0000 0.0000
Ba2 0.1891 0.1891 0.0000
Ba3 0.8109 0.8109 0.0000
U1 0.4012 0.4012 0.0000
U2 0.5988 0.5988 0.0000
N1 0.3107 0.3107 0.0000
N2 0.6893 0.6893 0.0000
O1 0.0922 0.5922 0.5000
O2 0.4078 0.9078 0.5000
O3 0.5000 0.5000 0.0000
O4 0.5922 0.0922 0.5000
O5 0.9078 0.4078 0.5000



[2]
This entry pairs a crystal structure of BaOs2N with its calculated X-ray diffraction stick pattern. Radiation: copper Kα. Structure: DFT lattice parameters and positions (PBE).
Lines closer than 0.1° are merged.

Largest 10 diffraction maxima, low angle first, 10° ≤ 2θ ≤ 90°:
| 2θ (°) | intensity |
| --- | --- |
| 18.71 | 35.5 |
| 27.03 | 100.0 |
| 27.47 | 16.8 |
| 28.34 | 26.5 |
| 37.95 | 78.9 |
| 38.92 | 38.6 |
| 40.19 | 70.6 |
| 55.73 | 26.3 |
| 58.62 | 42.8 |
| 64.80 | 17.7 |

Crystal structure
Cell: 7.4264 7.4264 7.4264 Å, 139.89 139.89 58.02°
Fractional positions:
Ba1 0.3750 0.6250 0.7500
Ba2 0.6250 0.3750 0.2500
Os1 0.0000 0.0000 0.0000
Os2 0.0000 0.0000 0.5000
Os3 0.0000 0.5000 0.0000
Os4 0.5000 0.0000 0.5000
N1 0.1250 0.8750 0.2500
N2 0.8750 0.1250 0.7500



[3]
This entry pairs a crystal structure of Ba3PaOs2N6 with its calculated X-ray diffraction stick pattern. Radiation: copper Kα. Structure: DFT lattice parameters and positions (PBE).
Lines closer than 0.1° are merged.

Largest 10 diffraction maxima, low angle first, 10° ≤ 2θ ≤ 90°:
| 2θ (°) | intensity |
| --- | --- |
| 28.54 | 100.0 |
| 29.61 | 85.1 |
| 41.59 | 39.2 |
| 50.54 | 23.3 |
| 51.21 | 37.6 |
| 58.79 | 23.8 |
| 59.07 | 18.3 |
| 67.45 | 16.8 |
| 74.03 | 12.9 |
| 81.41 | 16.2 |

Crystal structure
Cell: 6.2556 6.2556 7.2652 Å, 90.00 90.00 120.00°
Fractional positions:
Ba1 0.0000 0.0000 0.0000
Ba2 0.3333 0.6667 0.7184
Ba3 0.6667 0.3333 0.2816
Pa1 0.0000 0.0000 0.5000
Os1 0.3333 0.6667 0.2486
Os2 0.6667 0.3333 0.7514
N1 0.1682 0.3363 0.3085
N2 0.1682 0.8318 0.3085
N3 0.3363 0.1682 0.6915
N4 0.6637 0.8318 0.3085
N5 0.8318 0.1682 0.6915
N6 0.8318 0.6637 0.6915



Q: What is the formula in the second record?
A: BaOs2N



What did the third record say?
This entry pairs a crystal structure of Ba3PaOs2N6 with its calculated X-ray diffraction stick pattern. Radiation: copper Kα. Structure: DFT lattice parameters and positions (PBE).
Lines closer than 0.1° are merged.

Largest 10 diffraction maxima, low angle first, 10° ≤ 2θ ≤ 90°:
| 2θ (°) | intensity |
| --- | --- |
| 28.54 | 100.0 |
| 29.61 | 85.1 |
| 41.59 | 39.2 |
| 50.54 | 23.3 |
| 51.21 | 37.6 |
| 58.79 | 23.8 |
| 59.07 | 18.3 |
| 67.45 | 16.8 |
| 74.03 | 12.9 |
| 81.41 | 16.2 |

Crystal structure
Cell: 6.2556 6.2556 7.2652 Å, 90.00 90.00 120.00°
Fractional positions:
Ba1 0.0000 0.0000 0.0000
Ba2 0.3333 0.6667 0.7184
Ba3 0.6667 0.3333 0.2816
Pa1 0.0000 0.0000 0.5000
Os1 0.3333 0.6667 0.2486
Os2 0.6667 0.3333 0.7514
N1 0.1682 0.3363 0.3085
N2 0.1682 0.8318 0.3085
N3 0.3363 0.1682 0.6915
N4 0.6637 0.8318 0.3085
N5 0.8318 0.1682 0.6915
N6 0.8318 0.6637 0.6915



What did the second record say?
This entry pairs a crystal structure of BaOs2N with its calculated X-ray diffraction stick pattern. Radiation: copper Kα. Structure: DFT lattice parameters and positions (PBE).
Lines closer than 0.1° are merged.

Largest 10 diffraction maxima, low angle first, 10° ≤ 2θ ≤ 90°:
| 2θ (°) | intensity |
| --- | --- |
| 18.71 | 35.5 |
| 27.03 | 100.0 |
| 27.47 | 16.8 |
| 28.34 | 26.5 |
| 37.95 | 78.9 |
| 38.92 | 38.6 |
| 40.19 | 70.6 |
| 55.73 | 26.3 |
| 58.62 | 42.8 |
| 64.80 | 17.7 |

Crystal structure
Cell: 7.4264 7.4264 7.4264 Å, 139.89 139.89 58.02°
Fractional positions:
Ba1 0.3750 0.6250 0.7500
Ba2 0.6250 0.3750 0.2500
Os1 0.0000 0.0000 0.0000
Os2 0.0000 0.0000 0.5000
Os3 0.0000 0.5000 0.0000
Os4 0.5000 0.0000 0.5000
N1 0.1250 0.8750 0.2500
N2 0.8750 0.1250 0.7500